Entry 1:
The following is a calculated powder X-ray diffraction pattern of Pr3Sn5. It was derived from a structure optimized by DFT (GGA-PBE), using CuKα.

Largest 6 diffraction maxima, by angle, 2θ from 10° to 90°:
- 30.52°, d 2.929, rel. 32.7, hkl 4 0 1
- 32.08°, d 2.790, rel. 98.6, hkl 4 2 0
- 32.81°, d 2.730, rel. 100.0, hkl 1 2 2
- 33.63°, d 2.665, rel. 65.3, hkl 0 4 0
- 34.22°, d 2.620, rel. 73.6, hkl 3 0 2
- 37.98°, d 2.369, rel. 51.1, hkl 1 3 2

Cell: 13.0955 10.6608 6.5524 Å, 90.00 90.00 90.00°
Fractional coordinates of all 32 atoms:
Pr  0.0585  0.2500  0.1307
Pr  0.1510  0.5046  0.6257
Pr  0.1510  0.9954  0.6257
Pr  0.3490  0.0046  0.1257
Pr  0.3490  0.4954  0.1257
Pr  0.4415  0.7500  0.6307
Pr  0.5585  0.2500  0.3693
Pr  0.6510  0.5046  0.8743
Pr  0.6510  0.9954  0.8743
Pr  0.8490  0.0046  0.3743
Pr  0.8490  0.4954  0.3743
Pr  0.9415  0.7500  0.8693
Sn  0.0016  0.7500  0.3951
Sn  0.0907  0.5483  0.1279
Sn  0.0907  0.9517  0.1279
Sn  0.2279  0.7500  0.8915
Sn  0.2424  0.7500  0.3534
Sn  0.2576  0.2500  0.8534
Sn  0.2721  0.2500  0.3915
Sn  0.4093  0.0483  0.6279
Sn  0.4093  0.4517  0.6279
Sn  0.4984  0.2500  0.8951
Sn  0.5016  0.7500  0.1049
Sn  0.5907  0.5483  0.3721
Sn  0.5907  0.9517  0.3721
Sn  0.7279  0.7500  0.6085
Sn  0.7424  0.7500  0.1466
Sn  0.7576  0.2500  0.6466
Sn  0.7721  0.2500  0.1085
Sn  0.9093  0.0483  0.8721
Sn  0.9093  0.4517  0.8721
Sn  0.9984  0.2500  0.6049



Entry 2:
The following is a calculated powder X-ray diffraction pattern of ZnCd2Ir. It was derived from a structure optimized by DFT (GGA-PBE), using CuKα.

Largest 6 diffraction maxima, by angle, 2θ from 10° to 90°:
- 36.83°, d 2.441, rel. 100.0, hkl 1 1 0
- 38.78°, d 2.322, rel. 86.4, hkl 0 1 2
- 43.39°, d 2.085, rel. 31.3, hkl 1 0 -2
- 43.79°, d 2.067, rel. 30.5, hkl 1 0 2
- 44.65°, d 2.030, rel. 28.9, hkl 0 2 0
- 78.33°, d 1.221, rel. 31.9, hkl 2 2 0

Cell: 3.0543 4.0594 5.6625 Å, 90.00 90.51 90.00°
Fractional coordinates of all 4 atoms:
Zn  0.0000  0.0000  0.0000
Cd  0.4972  0.5000  0.2556
Cd  0.5028  0.5000  0.7444
Ir  0.0000  0.0000  0.5000



Entry 3:
The following is a calculated powder X-ray diffraction pattern of Pu2ZnGa3Pd4. It was derived from a structure optimized by DFT (GGA-PBE), using CuKα.

Largest 6 diffraction maxima, by angle, 2θ from 10° to 90°:
- 32.47°, d 2.758, rel. 64.6, hkl 1 0 3
- 34.72°, d 2.584, rel. 100.0, hkl 1 1 2
- 43.87°, d 2.064, rel. 47.1, hkl 2 0 0
- 46.38°, d 1.958, rel. 36.2, hkl 1 0 5
- 55.63°, d 1.652, rel. 28.6, hkl 2 1 3
- 65.75°, d 1.420, rel. 25.6, hkl 2 1 5

Cell: 4.1271 4.1271 11.1187 Å, 90.00 90.00 90.00°
Fractional coordinates of all 10 atoms:
Pu  0.0000  0.5000  0.2460
Pu  0.5000  0.0000  0.7540
Zn  0.5000  0.5000  0.0000
Ga  0.0000  0.0000  0.0000
Ga  0.0000  0.5000  0.6329
Ga  0.5000  0.0000  0.3671
Pd  0.0000  0.0000  0.5000
Pd  0.0000  0.5000  0.8587
Pd  0.5000  0.0000  0.1413
Pd  0.5000  0.5000  0.5000